Computed X-ray diffraction stick pattern of Dy2FeMoO7 for Cu Kα (weighted mean of Kα1 and Kα2), from DFT lattice parameters and positions (PBE+U).

Cell and atoms:
a = 12.398 Å, b = 7.251 Å, c = 7.241 Å
α = 90.00°, β = 124.14°, γ = 90.00°
Space group C2/m (No. 12)
One atom of each set of equivalent atoms:
Dy1 0.000 0.000 0.000 x2
Dy2 0.000 0.500 0.000 x2
Dy3 0.250 0.250 0.500 x4
Fe1 0.250 0.250 0.000 x4
Mo1 0.000 0.000 0.500 x2
Mo2 0.000 0.500 0.500 x2
O1 0.102 0.000 0.369 x4
O2 0.110 0.219 0.666 x8
O3 0.120 0.500 0.385 x4
O4 0.138 0.238 0.105 x8
O5 0.157 0.500 0.874 x4

Peak list (8 most intense, 10° ≤ 2θ ≤ 90°, sorted by position)
2θ/deg	I_rel
15.17	24
29.81	50
30.18	100
30.62	50
35.01	62
49.81	36
50.38	32
50.86	30